Structure and simulated powder diffractogram of Zr (a GGA-PBE-relaxed structure; Cu Ka).

Largest 10 diffraction maxima, by angle, 2θ from 15° to 90°:
2θ/deg	Rel. int.
30.05	57
31.85	76
34.11	47
35.73	100
41.17	96
44.35	27
50.22	22
67.90	22
68.89	23
71.82	24

Unit cell a=8.095 b=8.095 c=8.095 alpha=92.08 beta=92.08 gamma=158.04
Fractional positions:
Zr  0.092  0.354  0.446
Zr  0.097  0.830  0.926
Zr  0.170  0.097  0.267
Zr  0.354  0.908  0.262
Zr  0.646  0.092  0.738
Zr  0.830  0.903  0.733
Zr  0.903  0.170  0.074
Zr  0.908  0.646  0.554